Computed powder X-ray diffraction pattern of HoGaSiTc2 for Cu Kα, 1.54184 Å, from a cell relaxed with PBE.

Cell and atoms:
a = 6.2629 Å, b = 6.2629 Å, c = 7.4326 Å
α = 90.00°, β = 90.00°, γ = 140.65°
Atoms (fractional coordinates):
Ho 0.0593 0.9407 0.7500
Ho 0.9407 0.0593 0.2500
Ga 0.5000 0.5000 0.0000
Ga 0.5000 0.5000 0.5000
Si 0.2445 0.7555 0.2500
Si 0.7555 0.2445 0.7500
Tc 0.3019 0.6981 0.5704
Tc 0.3019 0.6981 0.9296
Tc 0.6981 0.3019 0.0704
Tc 0.6981 0.3019 0.4296

Top 6 peaks for 10 to 90 degrees two-theta, low angle first:
2θ = 25.4°, I 34
2θ = 32.7°, I 45
2θ = 33.0°, I 100
2θ = 42.9°, I 37
2θ = 44.0°, I 32
2θ = 48.5°, I 38

***

Computed powder X-ray diffraction pattern of Tl2V2NiS6 for Cu Kα, 1.54184 Å, from a cell relaxed with PBE.

Cell and atoms:
a = 6.0228 Å, b = 6.0228 Å, c = 7.8425 Å
α = 98.25°, β = 98.25°, γ = 121.87°
Atoms (fractional coordinates):
Tl 0.1605 0.8395 0.0000
Tl 0.8395 0.1605 0.0000
V 0.3133 0.6867 0.5000
V 0.6867 0.3133 0.5000
Ni 0.0000 0.0000 0.5000
S 0.0835 0.4022 0.6819
S 0.2644 0.2644 0.3398
S 0.4022 0.0835 0.6819
S 0.5978 0.9165 0.3181
S 0.7356 0.7356 0.6602
S 0.9165 0.5978 0.3181

Top 6 peaks for 10 to 90 degrees two-theta, low angle first:
2θ = 18.0°, I 49
2θ = 23.7°, I 45
2θ = 30.6°, I 45
2θ = 33.9°, I 46
2θ = 34.1°, I 100
2θ = 43.5°, I 33

***

Computed powder X-ray diffraction pattern of LiTi2HPd for Cu Kα, 1.54184 Å, from a cell relaxed with PBE.

Cell and atoms:
a = 3.9781 Å, b = 3.9781 Å, c = 3.9686 Å
α = 90.00°, β = 90.00°, γ = 90.00°
Atoms (fractional coordinates):
Li 0.0000 0.0000 0.0000
Ti 0.0000 0.5000 0.5000
Ti 0.5000 0.0000 0.5000
H 0.0000 0.0000 0.5000
Pd 0.5000 0.5000 0.0000

Top 6 peaks for 10 to 90 degrees two-theta, low angle first:
2θ = 22.3°, I 54
2θ = 31.9°, I 47
2θ = 39.3°, I 100
2θ = 45.6°, I 33
2θ = 66.5°, I 30
2θ = 80.0°, I 22